Record 1
This entry pairs a crystal structure of CaSi2Se4 with its computed PXRD pattern. Radiation: Cu Kα X-rays. Structure: a DFT-relaxed cell (GGA-PBE, Alexandria).
Neutral-atom scattering factors, no anomalous dispersion.

Peak list (10 most intense, 15° ≤ 2θ ≤ 90°, low angle first)
- 16.24 deg, I 14
- 28.31 deg, I 22
- 29.50 deg, I 100
- 32.82 deg, I 13
- 36.82 deg, I 26
- 47.09 deg, I 28
- 50.88 deg, I 44
- 58.58 deg, I 10
- 66.95 deg, I 16
- 81.24 deg, I 13

Structural model:
Cell lengths 6.3024, 6.3024, 6.3024 Å; angles 104.48, 104.48, 119.98 degrees
Fractional positions:
Ca1 0.0000 0.0000 0.0000
Si1 0.2500 0.7500 0.5000
Si2 0.7500 0.2500 0.5000
Se1 0.1815 0.3377 0.5192
Se2 0.3377 0.8185 0.1562
Se3 0.6623 0.1815 0.8438
Se4 0.8185 0.6623 0.4808

Record 2
This entry pairs a crystal structure of CaSiTeSe with its computed PXRD pattern. Radiation: Cu Kα X-rays. Structure: a DFT-relaxed cell (GGA-PBE, Alexandria).
Neutral-atom scattering factors, no anomalous dispersion.

Peak list (10 most intense, 15° ≤ 2θ ≤ 90°, low angle first)
- 25.00 deg, I 22
- 25.65 deg, I 52
- 28.39 deg, I 52
- 30.06 deg, I 100
- 41.43 deg, I 35
- 42.22 deg, I 34
- 42.58 deg, I 18
- 43.49 deg, I 18
- 52.76 deg, I 17
- 62.49 deg, I 12

Structural model:
Cell lengths 4.2478, 4.1619, 6.2887 Å; angles 90.00, 91.49, 90.00 degrees
Fractional positions:
Ca1 0.0000 0.0000 0.0000
Si1 0.5393 0.5000 0.4326
Te1 0.9705 0.0000 0.4922
Se1 0.5050 0.5000 0.0370

- Number 2 is which compound?
  CaSiTeSe